This entry pairs a crystal structure of PrSmPt with its simulated powder XRD pattern. Radiation: Cu Kα X-rays. Structure: a structure optimized by DFT (PBE).

Crystal structure
Unit cell a=7.132 b=13.486 c=7.327 alpha=90.00 beta=90.00 gamma=90.00
Fractional coordinates of all 24 atoms:
Pr1 0.211 0.198 0.102
Pr2 0.211 0.302 0.602
Pr3 0.289 0.698 0.102
Pr4 0.289 0.802 0.602
Pr5 0.711 0.198 0.398
Pr6 0.711 0.302 0.898
Pr7 0.789 0.698 0.398
Pr8 0.789 0.802 0.898
Sm1 0.003 0.533 0.758
Sm2 0.003 0.967 0.258
Sm3 0.497 0.033 0.758
Sm4 0.497 0.467 0.258
Sm5 0.503 0.533 0.742
Sm6 0.503 0.967 0.242
Sm7 0.997 0.033 0.742
Sm8 0.997 0.467 0.242
Pt1 0.231 0.601 0.456
Pt2 0.231 0.899 0.956
Pt3 0.269 0.101 0.456
Pt4 0.269 0.399 0.956
Pt5 0.731 0.601 0.044
Pt6 0.731 0.899 0.544
Pt7 0.769 0.101 0.044
Pt8 0.769 0.399 0.544

Most intense lines, 5 to 70 degrees two-theta, in order of rising 2θ:
| index | Position (°2θ) | I (rel.) |
| --- | --- | --- |
| 1 2 1 | 21.82 | 64.5 |
| 2 2 0 | 28.31 | 49.5 |
| 1 2 2 | 30.47 | 45.6 |
| 2 2 1 | 30.88 | 56.7 |
| 1 4 1 | 31.80 | 98.6 |
| 2 0 2 | 35.12 | 100.0 |
| 0 4 2 | 36.21 | 39.7 |
| 2 4 0 | 36.68 | 37.5 |
| 0 2 3 | 39.23 | 47.8 |
| 1 6 1 | 44.01 | 42.6 |